[1]
Computed powder diffraction line list
Compound: Nd4S5
Radiation: Cu Kα, 1.54184 Å
Structure: a structure optimized by DFT (PBE)
Lines closer than 0.1° are merged.

Atomic structure:
```
Nd4S5
1.0
-6.3763 6.3763 1.8080
6.3763 -6.3763 1.8080
6.3763 6.3763 -1.8080
Nd S
4 5
Cartesian
1.7832 1.7832 0.0000
4.5930 -4.5930 1.8080
-4.5930 4.5930 1.8080
4.5930 4.5930 1.8080
6.3763 3.1934 0.0000
3.1934 6.3763 0.0000
0.0000 0.0000 1.8080
3.1829 0.0000 1.8080
0.0000 3.1829 1.8080
```

Main lines, in order of rising 2θ (5° ≤ 2θ ≤ 70°):
2θ 9.81, d = 9.017 Å, rel. 100
2θ 22.04, d = 4.033 Å, rel. 36
2θ 29.72, d = 3.006 Å, rel. 23
2θ 32.51, d = 2.754 Å, rel. 60
2θ 38.29, d = 2.350 Å, rel. 41
2θ 43.42, d = 2.084 Å, rel. 27

[2]
Computed powder diffraction line list
Compound: Nd3S4
Radiation: Cu Kα, 1.54184 Å
Structure: a structure optimized by DFT (PBE)
Lines closer than 0.1° are merged.

Atomic structure:
```
Nd3S4
1.0
-4.2937 4.2937 4.2937
4.2937 -4.2937 4.2937
4.2937 4.2937 -4.2937
Nd S
6 8
Cartesian
4.2937 -2.1469 3.2203
3.2203 4.2937 -2.1469
4.2937 2.1469 1.0734
2.1469 1.0734 4.2937
1.0734 4.2937 2.1469
-2.1469 3.2203 4.2937
2.7838 1.5099 -1.5099
4.9307 -0.6370 0.6370
1.5099 -1.5099 2.7838
1.5099 1.5099 1.5099
-1.5099 2.7838 1.5099
0.6370 4.9307 -0.6370
-0.6370 0.6370 4.9307
3.6568 3.6568 3.6568
```

Main lines, in order of rising 2θ (5° ≤ 2θ ≤ 70°):
2θ 25.41, d = 3.506 Å, rel. 100
2θ 32.98, d = 2.716 Å, rel. 94
2θ 39.25, d = 2.295 Å, rel. 58
2θ 47.34, d = 1.920 Å, rel. 40
2θ 54.48, d = 1.684 Å, rel. 31
2θ 67.20, d = 1.393 Å, rel. 36